Entry 1:
This entry pairs a crystal structure of La3InPb4 with its theoretical X-ray powder pattern. Radiation: Cu Kα (λ = 1.5418 Å). Structure: a PBE-relaxed structure.

Main lines, most intense first (15° ≤ 2θ ≤ 90°):
2θ = 30.82°, I 100; 2θ = 31.46°, I 68; 2θ = 59.59°, I 23; 2θ = 54.40°, I 12; 2θ = 42.89°, I 12; 2θ = 28.05°, I 11; 2θ = 45.09°, I 11; 2θ = 46.96°, I 10; 2θ = 31.76°, I 9; 2θ = 43.19°, I 9

Crystal structure
```
La3InPb4
1.0
0.0000 6.3642 6.2843
6.3547 0.0000 6.2843
6.3547 6.3642 0.0000
La In Pb
6 2 8
Cartesian
6.3547 2.0446 6.2843 La
3.1774 3.1821 3.1480 La
8.3831 6.3642 6.2907 La
4.3264 6.3642 6.2907 La
9.5321 9.5464 9.4323 La
6.3547 10.6839 6.2843 La
6.3547 4.5445 4.0445 In
6.3547 8.1840 4.0445 In
3.1774 3.1821 0.0050 Pb
8.1654 6.3642 2.2640 Pb
4.5441 6.3642 2.2640 Pb
9.5321 9.5464 6.2893 Pb
6.3547 4.5203 8.5439 Pb
8.1772 6.3642 10.3345 Pb
6.3547 8.2082 8.5439 Pb
4.5323 6.3642 10.3345 Pb
```

Entry 2:
This entry pairs a crystal structure of LaInPd with its theoretical X-ray powder pattern. Radiation: Cu Kα (λ = 1.5418 Å). Structure: a PBE-relaxed structure.

Main lines, most intense first (15° ≤ 2θ ≤ 90°):
2θ = 31.16°, I 100; 2θ = 38.21°, I 58; 2θ = 33.70°, I 55; 2θ = 60.37°, I 30; 2θ = 61.65°, I 29; 2θ = 33.55°, I 29; 2θ = 40.49°, I 24; 2θ = 44.88°, I 20; 2θ = 70.58°, I 16; 2θ = 57.18°, I 12

Crystal structure
```
LaInPd
1.0
8.1593 0.0000 0.0000
-4.0796 7.0661 0.0000
0.0000 0.0000 4.0396
La In Pd
3 3 3
Cartesian
-2.9411 5.0941 0.0000 La
1.1386 1.9720 0.0000 La
5.8821 0.0000 0.0000 La
-1.5808 2.7381 2.0198 In
3.1617 0.0000 2.0198 In
2.4988 4.3280 2.0198 In
0.0000 0.0000 2.0198 Pd
0.0000 4.7108 0.0000 Pd
4.0796 2.3554 0.0000 Pd
```

Entry 3:
This entry pairs a crystal structure of LaIn2Pd with its theoretical X-ray powder pattern. Radiation: Cu Kα (λ = 1.5418 Å). Structure: a PBE-relaxed structure.

Main lines, most intense first (15° ≤ 2θ ≤ 90°):
2θ = 31.31°, I 100; 2θ = 33.35°, I 70; 2θ = 38.25°, I 45; 2θ = 39.29°, I 36; 2θ = 35.05°, I 31; 2θ = 63.02°, I 24; 2θ = 41.24°, I 23; 2θ = 39.15°, I 22; 2θ = 69.88°, I 20; 2θ = 52.85°, I 19

Crystal structure
```
LaIn2Pd
1.0
4.7056 0.0000 0.0000
0.0000 10.8723 0.0000
0.0000 0.0000 7.6186
La In Pd
4 8 4
Cartesian
0.0000 0.8211 1.9047 La
0.0000 10.0512 5.7140 La
2.3528 4.6151 5.7140 La
2.3528 6.2573 1.9047 La
0.0000 3.9238 0.3875 In
0.0000 3.9238 3.4218 In
0.0000 6.9485 4.1969 In
0.0000 6.9485 7.2311 In
2.3528 1.5124 4.1969 In
2.3528 1.5124 7.2311 In
2.3528 9.3600 0.3875 In
2.3528 9.3600 3.4218 In
0.0000 2.2542 5.7140 Pd
0.0000 8.6182 1.9047 Pd
2.3528 3.1820 1.9047 Pd
2.3528 7.6904 5.7140 Pd
```

Entry 4:
This entry pairs a crystal structure of La4In21Pd10 with its theoretical X-ray powder pattern. Radiation: Cu Kα (λ = 1.5418 Å). Structure: a PBE-relaxed structure.

Main lines, most intense first (15° ≤ 2θ ≤ 90°):
2θ = 32.95°, I 100; 2θ = 39.20°, I 87; 2θ = 33.41°, I 61; 2θ = 32.06°, I 47; 2θ = 33.07°, I 36; 2θ = 39.47°, I 36; 2θ = 41.19°, I 29; 2θ = 41.47°, I 23; 2θ = 40.28°, I 22; 2θ = 32.46°, I 21

Crystal structure
```
La4In21Pd10
1.0
12.0656 -2.2984 0.0000
12.0656 2.2984 0.0000
-10.2500 0.0000 14.7533
La In Pd
4 21 10
Cartesian
-0.4789 0.0000 4.9215 La
-2.9335 0.0000 12.1714 La
16.8146 0.0000 2.5818 La
14.3600 0.0000 9.8317 La
-0.7043 0.0000 1.3718 In
-6.6094 0.0000 11.7614 In
-2.8830 0.0000 8.1311 In
4.8033 0.0000 0.0523 In
3.0232 0.0000 4.3530 In
2.0769 0.0000 7.3592 In
0.7063 0.0000 11.8162 In
6.2577 0.0000 4.3736 In
9.5829 0.0000 0.0441 In
4.5890 0.0000 9.3311 In
6.9406 0.0000 7.3766 In
9.2921 0.0000 5.4222 In
4.2982 0.0000 14.7091 In
7.6234 0.0000 10.3797 In
13.1748 0.0000 2.9370 In
11.8042 0.0000 7.3941 In
10.8579 0.0000 10.4003 In
9.0778 0.0000 14.7010 In
16.7641 0.0000 6.6221 In
20.4906 0.0000 2.9919 In
14.5854 0.0000 13.3814 In
-5.6717 0.0000 9.0225 Pd
2.1883 0.0000 1.5675 Pd
-0.2838 0.0000 9.0563 Pd
7.2180 0.0000 1.6611 Pd
3.6172 0.0000 12.0123 Pd
10.2639 0.0000 2.7409 Pd
6.6631 0.0000 13.0922 Pd
14.1649 0.0000 5.6970 Pd
11.6929 0.0000 13.1858 Pd
19.5528 0.0000 5.7307 Pd
```

Entry 5:
This entry pairs a crystal structure of LaInPt with its theoretical X-ray powder pattern. Radiation: Cu Kα (λ = 1.5418 Å). Structure: a PBE-relaxed structure.

Main lines, most intense first (15° ≤ 2θ ≤ 90°):
2θ = 34.16°, I 100; 2θ = 31.39°, I 64; 2θ = 41.51°, I 43; 2θ = 40.16°, I 37; 2θ = 35.25°, I 33; 2θ = 64.25°, I 30; 2θ = 43.19°, I 26; 2θ = 60.45°, I 22; 2θ = 22.87°, I 20; 2θ = 56.93°, I 16

Crystal structure
```
LaInPt
1.0
7.7775 0.0000 0.0000
-3.8887 6.7355 0.0000
0.0000 0.0000 4.1891
La In Pt
3 3 3
Cartesian
-2.2771 3.9440 0.0000 La
1.6116 2.7914 0.0000 La
4.5542 0.0000 0.0000 La
-0.9573 1.6581 2.0945 In
1.9146 0.0000 2.0945 In
2.9314 5.0774 2.0945 In
0.0000 0.0000 0.0000 Pt
0.0000 4.4903 2.0945 Pt
3.8887 2.2452 2.0945 Pt
```

Entry 6:
This entry pairs a crystal structure of LaInPt4 with its theoretical X-ray powder pattern. Radiation: Cu Kα (λ = 1.5418 Å). Structure: a PBE-relaxed structure.

Main lines, most intense first (15° ≤ 2θ ≤ 90°):
2θ = 38.49°, I 100; 2θ = 40.28°, I 55; 2θ = 62.18°, I 33; 2θ = 68.42°, I 31; 2θ = 19.82°, I 23; 2θ = 82.48°, I 21; 2θ = 32.65°, I 16; 2θ = 46.85°, I 12; 2θ = 81.34°, I 12; 2θ = 51.34°, I 6

Crystal structure
```
LaInPt4
1.0
0.0000 3.8785 3.8785
3.8785 0.0000 3.8785
3.8785 3.8785 0.0000
La In Pt
1 1 4
Cartesian
0.0000 0.0000 0.0000 La
5.8178 5.8178 5.8178 In
2.9143 2.9143 2.9143 Pt
4.8427 4.8427 2.9143 Pt
4.8427 2.9143 4.8427 Pt
2.9143 4.8427 4.8427 Pt
```

Q: Number 6 is which compound?
A: LaInPt4